Entry 1:
Structure and simulated XRD peak list of Li2SnBI (a DFT-relaxed cell (GGA-PBE, Alexandria); a wavelength of 1.5418 Å).
No peak broadening, texture or thermal motion is included.

Principal peaks in the range 2θ from 5° to 70°, by intensity:
d (Å)	I (rel.)
2.753	100
4.918	88
3.323	80
2.120	40
1.977	37
2.349	36
1.422	27
1.699	27
2.459	21
1.574	16

Structural model:
```
Li2SnBI
1.0
4.699 0.000 0.000
0.000 4.699 0.000
0.000 0.000 4.918
Li Sn B I
2 1 1 1
Direct
0.000 0.500 0.000
0.500 0.000 0.000
0.000 0.000 0.500
0.500 0.500 0.000
0.500 0.500 0.500
```

***

Entry 2:
Structure and simulated XRD peak list of GaPbCl4 (a DFT-relaxed cell (GGA-PBE, Alexandria); a wavelength of 1.5418 Å).
No peak broadening, texture or thermal motion is included.

Principal peaks in the range 2θ from 5° to 70°, by intensity:
d (Å)	I (rel.)
5.034	100
2.895	52
2.912	44
2.503	33
2.517	28
1.898	26
2.240	18
5.005	17
1.906	16
1.893	16

Structural model:
```
GaPbCl4
1.0
7.078 0.000 0.000
0.000 7.078 0.000
0.000 0.000 7.160
Ga Pb Cl
2 2 8
Direct
0.000 0.000 0.000
0.500 0.500 0.500
0.000 0.500 0.250
0.500 0.000 0.750
0.247 0.251 0.999
0.249 0.747 0.501
0.251 0.753 0.001
0.253 0.249 0.499
0.747 0.751 0.499
0.749 0.247 0.001
0.751 0.253 0.501
0.753 0.749 0.999
```

***

Entry 3:
Structure and simulated XRD peak list of CaTi2TeO8 (a DFT-relaxed cell (GGA-PBE, Alexandria); a wavelength of 1.5418 Å).
No peak broadening, texture or thermal motion is included.

Principal peaks in the range 2θ from 5° to 70°, by intensity:
d (Å)	I (rel.)
3.629	100
4.030	92
3.174	78
2.823	77
2.610	58
6.583	39
4.778	31
2.285	30
1.757	27
1.768	27

Structural model:
```
CaTi2TeO8
1.0
3.659 -3.174 0.000
3.659 3.174 0.000
-0.843 0.000 6.583
Ca Ti Te O
1 2 1 8
Direct
0.000 0.000 0.000
0.445 0.445 0.771
0.555 0.555 0.229
0.000 0.000 0.500
0.206 0.785 0.284
0.215 0.794 0.716
0.265 0.265 0.537
0.328 0.328 0.990
0.672 0.672 0.010
0.735 0.735 0.463
0.785 0.206 0.284
0.794 0.215 0.716
```

***

Entry 4:
Structure and simulated XRD peak list of Na6Pd3Br14 (a DFT-relaxed cell (GGA-PBE, Alexandria); a wavelength of 1.5418 Å).
No peak broadening, texture or thermal motion is included.

Principal peaks in the range 2θ from 5° to 70°, by intensity:
d (Å)	I (rel.)
3.117	100
5.270	50
5.686	46
2.843	30
1.983	28
2.807	27
3.377	23
1.757	22
2.333	21
1.992	18

Structural model:
```
Na6Pd3Br14
1.0
10.540 0.000 0.000
-5.270 9.128 0.000
0.000 0.000 7.269
Na Pd Br
6 3 14
Direct
0.061 0.589 0.000
0.285 0.105 0.524
0.411 0.472 0.000
0.528 0.939 0.000
0.820 0.715 0.524
0.895 0.180 0.524
0.000 0.000 0.947
0.333 0.667 0.445
0.667 0.333 0.841
0.000 0.000 0.302
0.095 0.860 0.765
0.140 0.235 0.765
0.167 0.434 0.267
0.267 0.833 0.267
0.333 0.667 0.799
0.443 0.202 0.042
0.542 0.432 0.636
0.566 0.733 0.267
0.568 0.109 0.636
0.759 0.557 0.042
0.765 0.905 0.765
0.798 0.241 0.042
0.891 0.458 0.636
```

***

Entry 5:
Structure and simulated XRD peak list of TbPmBiO2 (a DFT-relaxed cell (GGA-PBE, Alexandria); a wavelength of 1.5418 Å).
No peak broadening, texture or thermal motion is included.

Principal peaks in the range 2θ from 5° to 70°, by intensity:
d (Å)	I (rel.)
2.997	100
2.793	36
1.649	35
1.776	25
1.975	17
1.498	12
1.430	11
2.301	11
1.396	6
3.797	2

Structural model:
```
TbPmBiO2
1.0
3.950 0.000 0.000
0.000 3.950 0.000
0.000 0.000 13.803
Tb Pm Bi O
2 2 2 4
Direct
0.000 0.000 0.000
0.500 0.500 0.500
0.000 0.000 0.666
0.500 0.500 0.166
0.000 0.000 0.334
0.500 0.500 0.834
0.000 0.500 0.079
0.000 0.500 0.579
0.500 0.000 0.079
0.500 0.000 0.579
```

***

Entry 6:
Structure and simulated XRD peak list of Na3MnS4 (a DFT-relaxed cell (GGA-PBE, Alexandria); a wavelength of 1.5418 Å).
No peak broadening, texture or thermal motion is included.

Principal peaks in the range 2θ from 5° to 70°, by intensity:
d (Å)	I (rel.)
2.678	100
6.696	84
1.905	57
2.710	51
2.147	17
2.129	17
1.723	14
1.454	13
1.674	12
1.541	12

Structural model:
```
Na3MnS4
1.0
8.515 0.000 0.000
0.000 10.839 0.000
0.000 0.000 3.446
Na Mn S
6 2 8
Direct
0.000 0.000 0.000
0.250 0.250 0.500
0.250 0.750 0.500
0.500 0.500 0.000
0.750 0.250 0.500
0.750 0.750 0.500
0.000 0.500 0.000
0.500 0.000 0.000
0.000 0.280 0.000
0.000 0.720 0.000
0.192 0.500 0.500
0.308 0.000 0.500
0.500 0.220 0.000
0.500 0.780 0.000
0.692 0.000 0.500
0.808 0.500 0.500
```

***

Entry 7:
Structure and simulated XRD peak list of KCaAcF6 (a DFT-relaxed cell (GGA-PBE, Alexandria); a wavelength of 1.5418 Å).
No peak broadening, texture or thermal motion is included.

Principal peaks in the range 2θ from 5° to 70°, by intensity:
d (Å)	I (rel.)
6.370	100
3.434	54
3.316	44
1.994	39
3.185	30
5.686	30
2.611	30
3.400	26
1.923	19
2.131	18

Structural model:
```
KCaAcF6
1.0
-3.844 4.078 5.686
3.844 -4.078 5.686
3.844 4.078 -5.686
K Ca Ac F
2 2 2 12
Direct
0.367 0.117 0.250
0.633 0.883 0.750
0.000 0.000 0.500
0.000 0.500 0.000
0.000 0.500 0.500
0.500 0.500 0.000
0.076 0.346 0.185
0.076 0.891 0.730
0.106 0.356 0.750
0.338 0.109 0.685
0.338 0.654 0.230
0.371 0.621 0.750
0.629 0.379 0.250
0.662 0.346 0.770
0.662 0.891 0.315
0.894 0.644 0.250
0.924 0.109 0.270
0.924 0.654 0.815
```

***

Entry 8:
Structure and simulated XRD peak list of K2AlH2OF5 (a DFT-relaxed cell (GGA-PBE, Alexandria); a wavelength of 1.5418 Å).
No peak broadening, texture or thermal motion is included.

Principal peaks in the range 2θ from 5° to 70°, by intensity:
d (Å)	I (rel.)
2.402	100
6.202	78
3.239	50
2.790	48
1.899	37
2.871	36
2.424	32
2.990	31
1.935	22
2.765	20

Structural model:
```
K2AlH2OF5
1.0
4.848 -4.034 0.000
4.848 4.034 0.000
0.000 0.000 7.595
K Al H O F
4 2 4 2 10
Direct
0.008 0.396 0.250
0.396 0.008 0.750
0.604 0.992 0.250
0.992 0.604 0.750
0.500 0.500 0.000
0.500 0.500 0.500
0.134 0.866 0.147
0.134 0.866 0.353
0.866 0.134 0.647
0.866 0.134 0.853
0.059 0.941 0.250
0.941 0.059 0.750
0.276 0.724 0.519
0.276 0.724 0.981
0.314 0.314 0.000
0.314 0.314 0.500
0.482 0.518 0.250
0.518 0.482 0.750
0.686 0.686 0.000
0.686 0.686 0.500
0.724 0.276 0.019
0.724 0.276 0.481
```